[1]
The following is a computed X-ray powder pattern of Na2SO4. It was derived from the PBE geometry in the Materials Project, using Cu Kα (λ = 1.5418 Å).
Lines closer than 0.1° are merged.

Atomic structure:
Lattice parameters (Å, degrees): 5.833 5.898 7.056 86.91 68.62 86.37
Sites, in units of the cell vectors:
Na1 0.000 0.000 0.000
Na2 0.038 0.466 0.740
Na3 0.401 0.624 0.155
Na4 0.806 0.989 0.527
S1 0.490 0.204 0.935
S2 0.813 0.506 0.298
O1 0.202 0.850 0.629
O2 0.378 0.289 0.778
O3 0.403 0.962 0.997
O4 0.417 0.855 0.496
O5 0.772 0.172 0.816
O6 0.863 0.623 0.087
O7 0.899 0.258 0.267
O8 0.978 0.618 0.392

Peak list (10 most intense, 5° ≤ 2θ ≤ 70°, in order of falling intensity)
2θ = 30.75°, rel. 100.0
2θ = 20.60°, rel. 61.7
2θ = 32.99°, rel. 45.5
2θ = 33.96°, rel. 28.8
2θ = 24.79°, rel. 23.9
2θ = 22.81°, rel. 22.7
2θ = 19.93°, rel. 21.7
2θ = 21.96°, rel. 21.3
2θ = 26.14°, rel. 18.6
2θ = 43.67°, rel. 16.7


[2]
The following is a computed X-ray powder pattern of LiGe. It was derived from the PBE geometry in the Materials Project, using Cu Kα (λ = 1.5418 Å).
Lines closer than 0.1° are merged.

Atomic structure:
Lattice parameters (Å, degrees): 7.546 7.546 7.546 98.44 98.44 134.94
Sites, in units of the cell vectors:
Li1 0.005 0.038 0.694
Li2 0.155 0.689 0.194
Li3 0.189 0.495 0.534
Li4 0.462 0.655 0.966
Li5 0.538 0.345 0.034
Li6 0.811 0.505 0.466
Li7 0.845 0.311 0.806
Li8 0.995 0.962 0.306
Ge1 0.058 0.217 0.054
Ge2 0.283 0.837 0.841
Ge3 0.337 0.996 0.554
Ge4 0.496 0.442 0.659
Ge5 0.504 0.558 0.341
Ge6 0.663 0.004 0.446
Ge7 0.717 0.163 0.159
Ge8 0.942 0.783 0.946

Peak list (10 most intense, 5° ≤ 2θ ≤ 70°, in order of falling intensity)
2θ = 25.41°, rel. 100.0
2θ = 42.65°, rel. 55.5
2θ = 48.80°, rel. 33.4
2θ = 40.94°, rel. 32.5
2θ = 18.00°, rel. 17.3
2θ = 17.78°, rel. 16.2
2θ = 51.76°, rel. 15.0
2θ = 68.02°, rel. 11.9
2θ = 59.28°, rel. 11.1
2θ = 33.56°, rel. 8.1


[3]
The following is a computed X-ray powder pattern of CaH16O10. It was derived from the PBE geometry in the Materials Project, using Cu Kα (λ = 1.5418 Å).
Lines closer than 0.1° are merged.

Atomic structure:
Lattice parameters (Å, degrees): 6.202 6.316 11.213 91.18 90.28 91.38
Sites, in units of the cell vectors:
Ca1 0.000 0.000 0.000
Ca2 0.001 0.977 0.526
H1 0.020 0.548 0.887
H2 0.021 0.367 0.140
H3 0.078 0.305 0.344
H4 0.138 0.680 0.726
H5 0.268 0.613 0.905
H6 0.279 0.601 0.614
H7 0.282 0.381 0.111
H8 0.288 0.873 0.199
H9 0.291 0.361 0.422
H10 0.313 0.122 0.723
H11 0.332 0.984 0.377
H12 0.372 0.270 0.904
H13 0.377 0.730 0.402
H14 0.387 0.724 0.094
H15 0.392 0.259 0.612
H16 0.436 0.029 0.887
H17 0.556 0.954 0.634
H18 0.569 0.061 0.112
H19 0.604 0.718 0.908
H20 0.620 0.711 0.616
H21 0.621 0.271 0.408
H22 0.637 0.012 0.392
H23 0.691 0.855 0.799
H24 0.707 0.620 0.411
H25 0.716 0.378 0.911
H26 0.721 0.131 0.217
H27 0.723 0.607 0.112
H28 0.730 0.363 0.614
H29 0.855 0.711 0.305
H30 0.856 0.302 0.798
H31 0.976 0.424 0.630
H32 0.990 0.623 0.117
O1 0.122 0.674 0.883
O2 0.135 0.664 0.637
O3 0.150 0.284 0.130
O4 0.164 0.254 0.409
O5 0.274 0.839 0.372
O6 0.311 0.872 0.112
O7 0.313 0.125 0.875
O8 0.333 0.113 0.634
O9 0.485 0.523 0.074
O10 0.488 0.500 0.942
O11 0.497 0.488 0.446
O12 0.506 0.486 0.579
O13 0.670 0.863 0.887
O14 0.682 0.858 0.639
O15 0.714 0.123 0.129
O16 0.714 0.147 0.382
O17 0.831 0.721 0.392
O18 0.859 0.692 0.141
O19 0.862 0.319 0.887
O20 0.872 0.302 0.641

Peak list (10 most intense, 5° ≤ 2θ ≤ 70°, in order of falling intensity)
2θ = 15.81°, rel. 100.0
2θ = 25.61°, rel. 55.2
2θ = 45.87°, rel. 48.3
2θ = 31.93°, rel. 44.0
2θ = 32.86°, rel. 40.9
2θ = 25.32°, rel. 36.4
2θ = 40.25°, rel. 35.8
2θ = 33.34°, rel. 34.9
2θ = 43.64°, rel. 26.9
2θ = 26.08°, rel. 26.0


[4]
The following is a computed X-ray powder pattern of Ba3Sr3Np2. It was derived from the PBE geometry in the Materials Project, using Cu Kα (λ = 1.5418 Å).
Lines closer than 0.1° are merged.

Atomic structure:
Lattice parameters (Å, degrees): 6.474 6.474 9.164 90.00 90.00 90.00
Sites, in units of the cell vectors:
Ba1 0.000 0.000 0.000
Ba2 0.000 0.000 0.500
Ba3 0.500 0.500 0.000
Sr1 0.000 0.500 0.749
Sr2 0.500 0.000 0.251
Sr3 0.500 0.500 0.500
Np1 0.000 0.500 0.251
Np2 0.500 0.000 0.749

Peak list (10 most intense, 5° ≤ 2θ ≤ 70°, in order of falling intensity)
2θ = 27.55°, rel. 100.0
2θ = 48.71°, rel. 42.1
2θ = 39.35°, rel. 19.4
2θ = 64.34°, rel. 18.5
2θ = 16.77°, rel. 13.5
2θ = 56.87°, rel. 13.3
2θ = 32.42°, rel. 8.6
2θ = 43.05°, rel. 4.1
2θ = 51.88°, rel. 3.3
2θ = 59.74°, rel. 3.3


[5]
The following is a computed X-ray powder pattern of Li3Cu3P2O8. It was derived from the PBE geometry in the Materials Project, using Cu Kα (λ = 1.5418 Å).
Lines closer than 0.1° are merged.

Atomic structure:
Lattice parameters (Å, degrees): 5.448 6.191 10.210 89.81 89.52 89.14
Sites, in units of the cell vectors:
Li1 0.000 0.000 0.000
Li2 0.001 0.009 0.507
Li3 0.173 0.253 0.755
Li4 0.478 0.750 0.001
Li5 0.482 0.753 0.505
Li6 0.658 0.997 0.752
Cu1 0.110 0.255 0.249
Cu2 0.671 0.019 0.238
Cu3 0.673 0.483 0.243
Cu4 0.675 0.518 0.754
Cu5 0.980 0.496 0.012
Cu6 0.988 0.481 0.511
P1 0.156 0.760 0.751
P2 0.165 0.757 0.254
P3 0.496 0.244 0.992
P4 0.502 0.246 0.507
O1 0.012 0.961 0.804
O2 0.023 0.958 0.312
O3 0.024 0.555 0.306
O4 0.034 0.546 0.802
O5 0.159 0.762 0.599
O6 0.162 0.762 0.102
O7 0.226 0.235 0.041
O8 0.234 0.242 0.563
O9 0.424 0.765 0.806
O10 0.431 0.752 0.309
O11 0.493 0.245 0.355
O12 0.502 0.245 0.840
O13 0.614 0.457 0.043
O14 0.624 0.462 0.551
O15 0.642 0.039 0.040
O16 0.646 0.045 0.559

Peak list (10 most intense, 5° ≤ 2θ ≤ 70°, in order of falling intensity)
2θ = 35.16°, rel. 100.0
2θ = 8.66°, rel. 94.6
2θ = 14.31°, rel. 91.5
2θ = 37.99°, rel. 70.7
2θ = 33.07°, rel. 68.7
2θ = 32.89°, rel. 51.6
2θ = 33.52°, rel. 45.5
2θ = 64.90°, rel. 40.7
2θ = 21.90°, rel. 38.9
2θ = 37.29°, rel. 38.2


[6]
The following is a computed X-ray powder pattern of ScC3O6. It was derived from the PBE geometry in the Materials Project, using Cu Kα (λ = 1.5418 Å).
Lines closer than 0.1° are merged.

Atomic structure:
Lattice parameters (Å, degrees): 10.576 6.784 9.287 90.00 99.20 90.00
Sites, in units of the cell vectors:
Sc1 0.000 0.000 0.000
Sc2 0.000 0.500 0.500
Sc3 0.500 0.000 0.500
Sc4 0.500 0.500 0.000
C1 0.063 0.098 0.345
C2 0.063 0.402 0.845
C3 0.286 0.698 0.582
C4 0.286 0.802 0.082
C5 0.360 0.214 0.749
C6 0.360 0.286 0.249
C7 0.640 0.714 0.751
C8 0.640 0.786 0.251
C9 0.714 0.198 0.918
C10 0.714 0.302 0.418
C11 0.937 0.598 0.155
C12 0.937 0.902 0.655
O1 0.006 0.103 0.216
O2 0.006 0.397 0.716
O3 0.065 0.215 0.448
O4 0.065 0.285 0.948
O5 0.194 0.586 0.545
O6 0.194 0.914 0.045
O7 0.357 0.713 0.007
O8 0.357 0.787 0.507
O9 0.367 0.173 0.355
O10 0.367 0.327 0.855
O11 0.443 0.152 0.678
O12 0.443 0.348 0.178
O13 0.557 0.652 0.822
O14 0.557 0.848 0.322
O15 0.633 0.673 0.145
O16 0.633 0.827 0.645
O17 0.643 0.213 0.493
O18 0.643 0.287 0.993
O19 0.806 0.086 0.955
O20 0.806 0.414 0.455
O21 0.935 0.715 0.052
O22 0.935 0.785 0.552
O23 0.994 0.603 0.284
O24 0.994 0.897 0.784

Peak list (10 most intense, 5° ≤ 2θ ≤ 70°, in order of falling intensity)
2θ = 17.62°, rel. 100.0
2θ = 16.98°, rel. 56.7
2θ = 28.86°, rel. 49.3
2θ = 19.06°, rel. 40.4
2θ = 19.36°, rel. 24.5
2θ = 26.00°, rel. 20.4
2θ = 30.90°, rel. 18.2
2θ = 32.02°, rel. 15.7
2θ = 25.60°, rel. 12.9
2θ = 43.77°, rel. 12.9